Entry 1:
Theoretical PXRD pattern
Compound: PmH7Pd2
Radiation: λ = 1.5418 Å (Cu Kα)
Structure: a DFT-relaxed cell (PBE, Alexandria)
No peak broadening, texture or thermal motion is included.

Crystal structure
```
PmH7Pd2
1.0
2.4710 -4.9469 0.0000
2.4710 4.9469 0.0000
0.0000 0.0000 3.5871
Pm H Pd
1 7 2
Direct
0.0000 0.0000 0.0000
0.0190 0.2946 0.5000
0.2946 0.0190 0.5000
0.3410 0.6590 0.0000
0.5000 0.5000 0.5000
0.6590 0.3410 0.0000
0.7054 0.9810 0.5000
0.9810 0.7054 0.5000
0.3252 0.6748 0.5000
0.6748 0.3252 0.5000
```

Top 10 peaks for 15 to 90 degrees two-theta, low angle first:
- 30.79°, intensity 67
- 32.13°, intensity 95
- 32.64°, intensity 100
- 36.36°, intensity 40
- 44.50°, intensity 17
- 48.37°, intensity 38
- 56.26°, intensity 29
- 61.80°, intensity 31
- 63.08°, intensity 15
- 64.16°, intensity 15

Entry 2:
Theoretical PXRD pattern
Compound: PmH4Pd5
Radiation: λ = 1.5418 Å (Cu Kα)
Structure: a DFT-relaxed cell (PBE, Alexandria)
No peak broadening, texture or thermal motion is included.

Crystal structure
```
PmH4Pd5
1.0
5.8508 0.0000 0.0000
0.0000 8.4415 0.0000
0.0000 0.0000 4.8096
Pm H Pd
2 8 10
Direct
0.2500 0.2500 0.2286
0.7500 0.7500 0.7714
0.0664 0.7500 0.4472
0.2500 0.5309 0.9016
0.2500 0.9691 0.9016
0.4336 0.7500 0.4472
0.5664 0.2500 0.5528
0.7500 0.0309 0.0984
0.7500 0.4691 0.0984
0.9336 0.2500 0.5528
0.0031 0.5793 0.2459
0.0031 0.9207 0.2459
0.2500 0.7500 0.7668
0.4969 0.5793 0.2459
0.4969 0.9207 0.2459
0.5031 0.0793 0.7541
0.5031 0.4207 0.7541
0.7500 0.2500 0.2332
0.9969 0.0793 0.7541
0.9969 0.4207 0.7541
```

Top 10 peaks for 15 to 90 degrees two-theta, low angle first:
- 37.01°, intensity 100
- 37.40°, intensity 97
- 37.53°, intensity 88
- 53.54°, intensity 14
- 53.92°, intensity 33
- 66.88°, intensity 20
- 67.17°, intensity 30
- 67.54°, intensity 14
- 75.94°, intensity 24
- 76.18°, intensity 12

Entry 3:
Theoretical PXRD pattern
Compound: PmHPd6
Radiation: λ = 1.5418 Å (Cu Kα)
Structure: a DFT-relaxed cell (PBE, Alexandria)
No peak broadening, texture or thermal motion is included.

Crystal structure
```
PmHPd6
1.0
2.7756 1.6025 4.9000
-2.7756 1.6025 4.9000
0.0000 -3.2050 4.9000
Pm H Pd
1 1 6
Direct
0.0000 0.0000 0.0000
0.5000 0.5000 0.5000
0.0826 0.5950 0.5950
0.4050 0.4050 0.9174
0.4050 0.9174 0.4050
0.5950 0.0826 0.5950
0.5950 0.5950 0.0826
0.9174 0.4050 0.4050
```

Top 10 peaks for 15 to 90 degrees two-theta, low angle first:
- 30.62°, intensity 35
- 35.80°, intensity 30
- 36.68°, intensity 17
- 37.93°, intensity 100
- 39.44°, intensity 33
- 48.95°, intensity 22
- 49.63°, intensity 24
- 59.84°, intensity 15
- 67.49°, intensity 24
- 75.88°, intensity 18

Entry 4:
Theoretical PXRD pattern
Compound: PmH7Pd5
Radiation: λ = 1.5418 Å (Cu Kα)
Structure: a DFT-relaxed cell (PBE, Alexandria)
No peak broadening, texture or thermal motion is included.

Crystal structure
```
PmH7Pd5
1.0
5.6976 0.0000 0.0000
-2.8391 4.9405 0.0000
-0.0057 -3.2808 4.6599
Pm H Pd
1 7 5
Direct
0.0000 0.0000 0.0000
0.5007 0.9995 0.4991
0.5175 0.4979 0.4813
0.5176 0.5029 0.0205
0.5204 0.0355 0.0153
0.9813 0.4980 0.0162
0.9824 0.5021 0.4854
0.9851 0.9644 0.4823
0.3721 0.7511 0.1215
0.3728 0.7445 0.6225
0.3778 0.2552 0.6312
0.7504 0.5001 0.2503
0.8784 0.2483 0.6238
```

Top 10 peaks for 15 to 90 degrees two-theta, low angle first:
- 31.37°, intensity 38
- 36.95°, intensity 100
- 37.02°, intensity 20
- 38.67°, intensity 42
- 55.81°, intensity 10
- 59.48°, intensity 15
- 59.61°, intensity 24
- 65.40°, intensity 17
- 65.53°, intensity 17
- 77.62°, intensity 8

Entry 5:
Theoretical PXRD pattern
Compound: PmH8Pd3Pt2
Radiation: λ = 1.5418 Å (Cu Kα)
Structure: a DFT-relaxed cell (PBE, Alexandria)
No peak broadening, texture or thermal motion is included.

Crystal structure
```
PmH8Pd3Pt2
1.0
2.8973 1.6728 4.7679
-2.8973 1.6728 4.7679
0.0000 -3.3455 4.7679
Pm H Pd Pt
1 8 3 2
Direct
0.0000 0.0000 0.0000
0.3809 0.3809 0.3809
0.3869 0.3869 0.8697
0.3869 0.8697 0.3869
0.4785 0.8367 0.8367
0.8367 0.4785 0.8367
0.8367 0.8367 0.4785
0.8450 0.8450 0.8450
0.8697 0.3869 0.3869
0.1346 0.6250 0.6250
0.6250 0.1346 0.6250
0.6250 0.6250 0.1346
0.2525 0.2525 0.2525
0.6254 0.6254 0.6254
```

Top 10 peaks for 15 to 90 degrees two-theta, low angle first:
- 30.70°, intensity 14
- 30.86°, intensity 38
- 36.14°, intensity 39
- 36.30°, intensity 100
- 37.74°, intensity 11
- 38.00°, intensity 31
- 58.42°, intensity 41
- 63.94°, intensity 19
- 64.30°, intensity 19
- 76.04°, intensity 9

Entry 6:
Theoretical PXRD pattern
Compound: Pr2H7Pd2
Radiation: λ = 1.5418 Å (Cu Kα)
Structure: a DFT-relaxed cell (PBE, Alexandria)
No peak broadening, texture or thermal motion is included.

Crystal structure
```
Pr2H7Pd2
1.0
-1.8809 4.0316 4.0643
1.8809 -4.0316 4.0643
1.8809 4.0316 -4.0643
Pr H Pd
2 7 2
Direct
0.2278 0.2278 0.0000
0.7722 0.7722 0.0000
0.0000 0.5000 0.5000
0.1136 0.7911 0.3225
0.3314 0.5000 0.8314
0.4686 0.7911 0.6775
0.5314 0.2089 0.3225
0.6686 0.5000 0.1686
0.8864 0.2089 0.6775
0.3234 0.0000 0.3234
0.6766 0.0000 0.6766
```

Top 10 peaks for 15 to 90 degrees two-theta, low angle first:
- 26.11°, intensity 70
- 31.25°, intensity 72
- 34.34°, intensity 100
- 35.17°, intensity 22
- 41.28°, intensity 52
- 44.59°, intensity 18
- 47.08°, intensity 17
- 58.74°, intensity 24
- 62.38°, intensity 25
- 67.26°, intensity 26

Entry 7:
Theoretical PXRD pattern
Compound: Pr2HPd4
Radiation: λ = 1.5418 Å (Cu Kα)
Structure: a DFT-relaxed cell (PBE, Alexandria)
No peak broadening, texture or thermal motion is included.

Crystal structure
```
Pr2HPd4
1.0
3.8321 0.0000 0.0000
0.0000 3.8321 0.0000
0.0000 0.0000 18.7147
Pr H Pd
4 2 8
Direct
0.0000 0.0000 0.1321
0.0000 0.0000 0.8679
0.5000 0.5000 0.3679
0.5000 0.5000 0.6321
0.0000 0.0000 0.5000
0.5000 0.5000 0.0000
0.0000 0.0000 0.2918
0.0000 0.0000 0.7082
0.0000 0.5000 0.0000
0.0000 0.5000 0.5000
0.5000 0.0000 0.0000
0.5000 0.0000 0.5000
0.5000 0.5000 0.2082
0.5000 0.5000 0.7918
```

Top 10 peaks for 15 to 90 degrees two-theta, low angle first:
- 23.70°, intensity 25
- 33.06°, intensity 25
- 33.47°, intensity 77
- 34.46°, intensity 100
- 38.41°, intensity 75
- 41.17°, intensity 70
- 47.45°, intensity 57
- 59.30°, intensity 31
- 64.60°, intensity 37
- 69.55°, intensity 31

Entry 8:
Theoretical PXRD pattern
Compound: PrH4Pd3
Radiation: λ = 1.5418 Å (Cu Kα)
Structure: a DFT-relaxed cell (PBE, Alexandria)
No peak broadening, texture or thermal motion is included.

Crystal structure
```
PrH4Pd3
1.0
5.6050 0.0000 0.0000
0.0000 5.6050 0.0000
0.0000 0.0000 5.6050
Pr H Pd
2 8 6
Direct
0.0000 0.0000 0.0000
0.5000 0.5000 0.5000
0.2500 0.2500 0.2500
0.2500 0.2500 0.7500
0.2500 0.7500 0.2500
0.2500 0.7500 0.7500
0.7500 0.2500 0.2500
0.7500 0.2500 0.7500
0.7500 0.7500 0.2500
0.7500 0.7500 0.7500
0.0000 0.2500 0.5000
0.0000 0.7500 0.5000
0.2500 0.5000 0.0000
0.5000 0.0000 0.2500
0.5000 0.0000 0.7500
0.7500 0.5000 0.0000
```

Top 10 peaks for 15 to 90 degrees two-theta, low angle first:
- 31.93°, intensity 42
- 35.82°, intensity 98
- 39.38°, intensity 100
- 56.91°, intensity 6
- 59.46°, intensity 22
- 61.95°, intensity 52
- 66.76°, intensity 18
- 75.92°, intensity 14
- 78.14°, intensity 19
- 80.35°, intensity 12

Entry 9:
Theoretical PXRD pattern
Compound: PrH6PdPt2
Radiation: λ = 1.5418 Å (Cu Kα)
Structure: a DFT-relaxed cell (PBE, Alexandria)
No peak broadening, texture or thermal motion is included.

Crystal structure
```
PrH6PdPt2
1.0
2.4081 1.3903 5.0133
-2.4081 1.3903 5.0133
0.0000 -2.7806 5.0133
Pr H Pd Pt
1 6 1 2
Direct
0.0000 0.0000 0.0000
0.0974 0.5576 0.5576
0.4424 0.4424 0.9026
0.4424 0.9026 0.4424
0.5576 0.0974 0.5576
0.5576 0.5576 0.0974
0.9026 0.4424 0.4424
0.5000 0.5000 0.5000
0.2129 0.2129 0.2129
0.7871 0.7871 0.7871
```

Top 10 peaks for 15 to 90 degrees two-theta, low angle first:
- 17.69°, intensity 24
- 32.05°, intensity 87
- 36.84°, intensity 39
- 37.34°, intensity 100
- 41.61°, intensity 17
- 47.61°, intensity 15
- 50.01°, intensity 25
- 53.46°, intensity 15
- 64.05°, intensity 24
- 67.35°, intensity 18

Entry 10:
Theoretical PXRD pattern
Compound: H9Pd2Pt3
Radiation: λ = 1.5418 Å (Cu Kα)
Structure: a DFT-relaxed cell (PBE, Alexandria)
No peak broadening, texture or thermal motion is included.

Crystal structure
```
H9Pd2Pt3
1.0
5.3413 0.0000 0.0000
-2.6706 4.6257 0.0000
0.0000 0.0000 9.9342
H Pd Pt
18 4 6
Direct
0.0000 0.2247 0.2500
0.0000 0.3449 0.5753
0.0000 0.3449 0.9247
0.0000 0.6551 0.0753
0.0000 0.6551 0.4247
0.0000 0.7753 0.7500
0.2247 0.0000 0.2500
0.2247 0.2247 0.7500
0.3449 0.0000 0.5753
0.3449 0.0000 0.9247
0.3449 0.3449 0.0753
0.3449 0.3449 0.4247
0.6551 0.0000 0.0753
0.6551 0.0000 0.4247
0.6551 0.6551 0.5753
0.6551 0.6551 0.9247
0.7753 0.0000 0.7500
0.7753 0.7753 0.2500
0.3333 0.6667 0.0000
0.3333 0.6667 0.5000
0.6667 0.3333 0.0000
0.6667 0.3333 0.5000
0.0000 0.3776 0.7500
0.0000 0.6224 0.2500
0.3776 0.0000 0.7500
0.3776 0.3776 0.2500
0.6224 0.0000 0.2500
0.6224 0.6224 0.7500
```

Top 10 peaks for 15 to 90 degrees two-theta, low angle first:
- 17.86°, intensity 50
- 19.19°, intensity 38
- 34.78°, intensity 100
- 36.17°, intensity 45
- 38.26°, intensity 86
- 43.15°, intensity 25
- 43.54°, intensity 52
- 57.84°, intensity 24
- 60.00°, intensity 22
- 72.10°, intensity 25

Entry 11:
Theoretical PXRD pattern
Compound: H4Pd4Pt
Radiation: λ = 1.5418 Å (Cu Kα)
Structure: a DFT-relaxed cell (PBE, Alexandria)
No peak broadening, texture or thermal motion is included.

Crystal structure
```
H4Pd4Pt
1.0
2.9247 0.0000 0.0000
-1.4398 4.7971 0.0000
-1.4428 -1.3004 6.3820
H Pd Pt
4 4 1
Direct
0.1338 0.3207 0.4425
0.1663 0.7544 0.0902
0.8337 0.2456 0.9098
0.8662 0.6793 0.5575
0.1087 0.9089 0.8067
0.2978 0.7022 0.3939
0.7022 0.2978 0.6061
0.8913 0.0911 0.1933
0.5000 0.5000 0.0000
```

Top 10 peaks for 15 to 90 degrees two-theta, low angle first:
- 37.08°, intensity 51
- 37.46°, intensity 100
- 38.07°, intensity 48
- 43.03°, intensity 35
- 43.74°, intensity 32
- 44.01°, intensity 32
- 62.31°, intensity 11
- 63.91°, intensity 21
- 75.73°, intensity 12
- 76.15°, intensity 12

Entry 12:
Theoretical PXRD pattern
Compound: HPd3Pt
Radiation: λ = 1.5418 Å (Cu Kα)
Structure: a DFT-relaxed cell (PBE, Alexandria)
No peak broadening, texture or thermal motion is included.

Crystal structure
```
HPd3Pt
1.0
4.9126 0.0000 0.0000
1.6446 5.4436 0.0000
1.6150 2.4589 4.8690
H Pd Pt
2 6 2
Direct
0.0000 0.0000 0.0000
0.3987 0.9658 0.4245
0.1161 0.3081 0.3205
0.1245 0.7960 0.3288
0.6077 0.0595 0.0682
0.6204 0.0572 0.5732
0.6255 0.5521 0.5700
0.6254 0.5548 0.0682
0.1247 0.3204 0.8105
0.1258 0.7931 0.8184
```

Top 10 peaks for 15 to 90 degrees two-theta, low angle first:
- 38.65°, intensity 33
- 38.81°, intensity 100
- 44.89°, intensity 22
- 45.12°, intensity 22
- 45.22°, intensity 22
- 65.61°, intensity 14
- 65.69°, intensity 14
- 78.78°, intensity 12
- 79.00°, intensity 12
- 79.17°, intensity 12

Entry 13:
Theoretical PXRD pattern
Compound: HPd3Pt
Radiation: λ = 1.5418 Å (Cu Kα)
Structure: a DFT-relaxed cell (PBE, Alexandria)
No peak broadening, texture or thermal motion is included.

Crystal structure
```
HPd3Pt
1.0
8.4040 0.0000 0.0000
-4.2020 7.2781 0.0000
0.0000 0.0000 3.4211
H Pd Pt
3 9 3
Direct
0.0000 0.0000 0.0000
0.3333 0.6667 0.6667
0.6667 0.3333 0.3333
0.0320 0.5160 0.6504
0.1507 0.3014 0.9837
0.1507 0.8493 0.9837
0.3653 0.1826 0.3171
0.4840 0.5160 0.6504
0.4840 0.9680 0.6504
0.6986 0.8493 0.9837
0.8174 0.1826 0.3171
0.8174 0.6347 0.3171
0.0000 0.0000 0.5062
0.3333 0.6667 0.1729
0.6667 0.3333 0.8395
```

Top 10 peaks for 15 to 90 degrees two-theta, low angle first:
- 21.14°, intensity 16
- 28.84°, intensity 10
- 36.03°, intensity 100
- 42.15°, intensity 34
- 43.05°, intensity 68
- 55.16°, intensity 11
- 57.36°, intensity 22
- 59.73°, intensity 12
- 74.33°, intensity 17
- 80.36°, intensity 14